Simulated X-ray diffraction stick pattern
Compound: MgBiSbO5
Radiation: CuKα
Structure: a cell relaxed with PBE

The 6 most intense peaks (10° ≤ 2θ ≤ 90°), by angle:
d 5.062, rel. 64.6
d 3.647, rel. 100.0
d 3.116, rel. 81.5
d 2.771, rel. 51.2
d 2.661, rel. 36.0
d 2.190, rel. 29.3

Cell and atoms:
```
data_MgBiSbO5
_chemical_formula_sum 'Mg4 Bi4 Sb4 O20'
_space_group_name_H-M_alt 'P 1 21/c 1'
_space_group_IT_number 14
_cell_length_a 5.4629
_cell_length_b 12.0545
_cell_length_c 8.2709
_cell_angle_alpha 90.00
_cell_angle_beta 112.10
_cell_angle_gamma 90.00
loop_
_space_group_symop_operation_xyz
'x,y,z'
'-x,-y,-z'
'-x,y+1/2,-z+1/2'
'x,-y+1/2,z+1/2'
loop_
_atom_site_label
_atom_site_type_symbol
_atom_site_fract_x
_atom_site_fract_y
_atom_site_fract_z
_atom_site_occupancy
Mg1 Mg 0.0518 0.0792 0.1735 1
Bi1 Bi 0.4440 0.0969 0.8368 1
Sb1 Sb 0.3197 0.6437 0.0324 1
O1 O 0.1858 0.7075 0.4822 1
O2 O 0.1934 0.5599 0.1805 1
O3 O 0.2571 0.0237 0.0146 1
O4 O 0.2669 0.5646 0.8216 1
O5 O 0.3206 0.1826 0.3470 1
```


Simulated X-ray diffraction stick pattern
Compound: TaPd
Radiation: CuKα
Structure: a cell relaxed with PBE

The 6 most intense peaks (10° ≤ 2θ ≤ 90°), by angle:
d 2.351, rel. 59.8
d 2.240, rel. 100.0
d 1.663, rel. 20.7
d 1.335, rel. 38.1
d 1.274, rel. 14.5
d 1.120, rel. 9.9

Cell and atoms:
```
data_TaPd
_chemical_formula_sum 'Ta2 Pd2'
_space_group_name_H-M_alt 'P 4/n m m'
_space_group_IT_number 129
_cell_length_a 3.3252
_cell_length_b 3.3252
_cell_length_c 6.0608
_cell_angle_alpha 90.00
_cell_angle_beta 90.00
_cell_angle_gamma 90.00
loop_
_space_group_symop_operation_xyz
'x,y,z'
'-x,-y,-z'
'-y+1/2,x,z'
'y+1/2,-x,-z'
'-x+1/2,-y+1/2,z'
'x+1/2,y+1/2,-z'
'y,-x+1/2,z'
'-y,x+1/2,-z'
'x+1/2,-y,-z'
'-x+1/2,y,z'
'-y,-x,-z'
'y,x,z'
'-x,y+1/2,-z'
'x,-y+1/2,z'
'y+1/2,x+1/2,-z'
'-y+1/2,-x+1/2,z'
loop_
_atom_site_label
_atom_site_type_symbol
_atom_site_fract_x
_atom_site_fract_y
_atom_site_fract_z
_atom_site_occupancy
Ta1 Ta 0.2500 0.2500 0.1443 1
Pd1 Pd 0.2500 0.2500 0.6309 1
```


Simulated X-ray diffraction stick pattern
Compound: BaCuO2
Radiation: CuKα
Structure: a cell relaxed with PBE

The 6 most intense peaks (10° ≤ 2θ ≤ 90°), by angle:
d 3.031, rel. 36.4
d 2.978, rel. 29.6
d 2.791, rel. 100.0
d 2.124, rel. 29.4
d 1.700, rel. 22.0
d 1.681, rel. 18.8

Cell and atoms:
```
data_BaCuO2
_chemical_formula_sum 'Ba4 Cu4 O8'
_space_group_name_H-M_alt 'P 1 21 1'
_space_group_IT_number 4
_cell_length_a 3.7028
_cell_length_b 11.9104
_cell_length_c 6.0611
_cell_angle_alpha 90.00
_cell_angle_beta 90.01
_cell_angle_gamma 90.00
loop_
_space_group_symop_operation_xyz
'x,y,z'
'-x,y+1/2,-z'
loop_
_atom_site_label
_atom_site_type_symbol
_atom_site_fract_x
_atom_site_fract_y
_atom_site_fract_z
_atom_site_occupancy
Ba1 Ba 0.0010 0.0000 0.4814 1
Ba2 Ba 0.0028 0.7854 0.9805 1
Cu1 Cu 0.4943 0.2690 0.5161 1
Cu2 Cu 0.4973 0.0161 0.9855 1
O1 O 0.0026 0.5574 0.9889 1
O2 O 0.0057 0.7282 0.5106 1
O3 O 0.4973 0.3823 0.7588 1
O4 O 0.4984 0.4035 0.2584 1
```


Simulated X-ray diffraction stick pattern
Compound: Sr2CuTeO6
Radiation: CuKα
Structure: a cell relaxed with PBE

The 6 most intense peaks (10° ≤ 2θ ≤ 90°), by angle:
d 2.896, rel. 100.0
d 2.734, rel. 49.2
d 2.186, rel. 21.7
d 1.933, rel. 26.6
d 1.707, rel. 23.0
d 1.608, rel. 40.3

Cell and atoms:
```
data_Sr2CuTeO6
_chemical_formula_sum 'Sr4 Cu2 Te2 O12'
_space_group_name_H-M_alt 'I 4/m'
_space_group_IT_number 87
_space_group_name_Hall '-I 4'
_cell_length_a 5.4671
_cell_length_b 5.4671
_cell_length_c 8.7430
_cell_angle_alpha 90.00
_cell_angle_beta 90.00
_cell_angle_gamma 90.00
loop_
_atom_site_label
_atom_site_type_symbol
_atom_site_fract_x
_atom_site_fract_y
_atom_site_fract_z
_atom_site_occupancy
Sr1 Sr 0.0000 0.5000 0.2500 1
Cu1 Cu 0.0000 0.0000 0.0000 1
Te1 Te 0.0000 0.0000 0.5000 1
O1 O 0.0000 0.0000 0.2772 1
O2 O 0.1908 0.6943 0.5000 1
```


Simulated X-ray diffraction stick pattern
Compound: NdNiRu
Radiation: CuKα
Structure: a cell relaxed with PBE

The 6 most intense peaks (10° ≤ 2θ ≤ 90°), by angle:
d 2.681, rel. 84.9
d 2.327, rel. 59.1
d 2.314, rel. 36.2
d 2.263, rel. 71.2
d 2.227, rel. 100.0
d 1.341, rel. 44.3

Cell and atoms:
```
data_NdNiRu
_chemical_formula_sum 'Nd4 Ni4 Ru4'
_space_group_name_H-M_alt 'I m m a'
_space_group_IT_number 74
_space_group_name_Hall '-I 2b 2'
_cell_length_a 5.1700
_cell_length_b 5.3206
_cell_length_c 7.7631
_cell_angle_alpha 90.00
_cell_angle_beta 90.00
_cell_angle_gamma 90.00
loop_
_atom_site_label
_atom_site_type_symbol
_atom_site_fract_x
_atom_site_fract_y
_atom_site_fract_z
_atom_site_occupancy
Nd1 Nd 0.0000 0.2500 0.1234 1
Ni1 Ni 0.0000 0.0000 0.5000 1
Ru1 Ru 0.2500 0.2500 0.7500 1
```